Record 1
Structure and calculated X-ray powder pattern of Dy4PuBi5 (a GGA-PBE-relaxed structure; Cu Kα X-rays).
Kinematic intensities with the Lorentz-polarization factor, no thermal factor.

Structural model:
abc: 16.168 16.168 16.168
angles: 164.02 164.02 22.67
Fractional positions:
Dy 0.101 0.101 0.000
Dy 0.299 0.299 0.000
Dy 0.701 0.701 0.000
Dy 0.899 0.899 0.000
Pu 0.500 0.500 0.000
Bi 0.000 0.000 0.000
Bi 0.200 0.200 0.000
Bi 0.399 0.399 0.000
Bi 0.601 0.601 0.000
Bi 0.800 0.800 0.000

Most intense lines, 2θ = 15–90°, by intensity:
two_theta	I (rel.)
28.10	100.0
40.16	78.4
49.74	28.6
72.99	28.0
65.73	25.2
65.84	12.5
58.06	9.1
86.78	6.2
58.20	4.5
86.66	3.1

Record 2
Structure and calculated X-ray powder pattern of RbNaGa2As2 (a GGA-PBE-relaxed structure; Cu Kα X-rays).
Kinematic intensities with the Lorentz-polarization factor, no thermal factor.

Structural model:
abc: 4.144 4.144 11.028
angles: 90.00 90.00 120.00
Fractional positions:
Rb 0.000 0.000 0.000
Na 0.000 0.000 0.500
Ga 0.333 0.667 0.761
Ga 0.667 0.333 0.239
As 0.333 0.667 0.316
As 0.667 0.333 0.684

Most intense lines, 2θ = 15–90°, by intensity:
two_theta	I (rel.)
29.70	100.0
43.68	41.9
16.07	20.5
53.72	18.2
41.29	18.0
48.44	16.1
26.11	15.5
71.64	15.0
55.47	13.5
24.21	12.7

Record 3
Structure and calculated X-ray powder pattern of Na12Hg3Pt (a GGA-PBE-relaxed structure; Cu Kα X-rays).
Kinematic intensities with the Lorentz-polarization factor, no thermal factor.

Structural model:
abc: 4.825 4.825 18.776
angles: 90.00 90.00 90.00
Fractional positions:
Na 0.000 0.000 0.000
Na 0.000 0.000 0.239
Na 0.000 0.000 0.500
Na 0.000 0.000 0.761
Na 0.000 0.500 0.106
Na 0.000 0.500 0.370
Na 0.000 0.500 0.630
Na 0.000 0.500 0.894
Na 0.500 0.000 0.106
Na 0.500 0.000 0.370
Na 0.500 0.000 0.630
Na 0.500 0.000 0.894
Hg 0.500 0.500 0.243
Hg 0.500 0.500 0.500
Hg 0.500 0.500 0.757
Pt 0.500 0.500 0.000

Most intense lines, 2θ = 15–90°, by intensity:
two_theta	I (rel.)
32.44	100.0
18.39	81.7
26.49	68.9
18.91	38.8
26.12	36.1
37.27	35.7
46.31	31.9
64.19	27.4
41.87	21.4
42.11	21.2